No. 1
The following is a calculated PXRD pattern of Dy2Al6Ag9. It was derived from a GGA-PBE-relaxed structure, using Cu Kα (λ = 1.5418 Å).
Peak positions follow from Bragg's law for the DFT cell and can differ from measured ones.

Main lines, low angle first (10 to 80 degrees two-theta):
2θ = 19.4°, d = 4.576 Å, intensity 16
2θ = 20.9°, d = 4.254 Å, intensity 25
2θ = 27.8°, d = 3.213 Å, intensity 88
2θ = 36.7°, d = 2.451 Å, intensity 100
2θ = 38.2°, d = 2.356 Å, intensity 76
2θ = 42.5°, d = 2.125 Å, intensity 80
2θ = 54.0°, d = 1.699 Å, intensity 28
2θ = 57.4°, d = 1.606 Å, intensity 52
2θ = 60.7°, d = 1.525 Å, intensity 19
2θ = 66.0°, d = 1.415 Å, intensity 24

Atomic structure:
Cell: 5.6603 5.6603 12.7608 Å, 90.00 90.00 120.00°
Positions (direct):
Dy 0.0000 0.0000 0.1645
Dy 0.0000 0.0000 0.8355
Al 0.3333 0.6667 0.1647
Al 0.3333 0.6667 0.5000
Al 0.3333 0.6667 0.8353
Al 0.6667 0.3333 0.1647
Al 0.6667 0.3333 0.5000
Al 0.6667 0.3333 0.8353
Ag 0.0000 0.5000 0.0000
Ag 0.0000 0.5000 0.3319
Ag 0.0000 0.5000 0.6681
Ag 0.5000 0.0000 0.0000
Ag 0.5000 0.0000 0.3319
Ag 0.5000 0.0000 0.6681
Ag 0.5000 0.5000 0.0000
Ag 0.5000 0.5000 0.3319
Ag 0.5000 0.5000 0.6681

=====

No. 2
The following is a calculated PXRD pattern of Dy3AlAg3S8. It was derived from a GGA-PBE-relaxed structure, using Cu Kα (λ = 1.5418 Å).
Peak positions follow from Bragg's law for the DFT cell and can differ from measured ones.

Main lines, low angle first (10 to 80 degrees two-theta):
2θ = 16.2°, d = 5.479 Å, intensity 39
2θ = 22.6°, d = 3.934 Å, intensity 18
2θ = 27.9°, d = 3.196 Å, intensity 63
2θ = 29.1°, d = 3.072 Å, intensity 19
2θ = 32.6°, d = 2.745 Å, intensity 100
2θ = 32.8°, d = 2.729 Å, intensity 49
2θ = 46.1°, d = 1.967 Å, intensity 54
2θ = 47.5°, d = 1.915 Å, intensity 16
2θ = 47.7°, d = 1.905 Å, intensity 32
2θ = 57.8°, d = 1.596 Å, intensity 18

Atomic structure:
Cell: 7.6270 7.6270 7.6675 Å, 118.10 118.10 62.13°
Positions (direct):
Dy 0.0000 0.0000 0.0000
Dy 0.0000 0.5000 0.5000
Dy 0.5000 0.0000 0.5000
Al 0.5000 0.5000 0.0000
Ag 0.0000 0.5000 0.0000
Ag 0.5000 0.0000 0.0000
Ag 0.5000 0.5000 0.5000
S 0.2461 0.2461 0.2563
S 0.2740 0.2740 0.7748
S 0.2735 0.7234 0.2241
S 0.2766 0.7265 0.7759
S 0.7234 0.2735 0.2241
S 0.7265 0.2766 0.7759
S 0.7260 0.7260 0.2252
S 0.7539 0.7539 0.7437

=====

No. 3
The following is a calculated PXRD pattern of Dy4Al2ZnAg. It was derived from a GGA-PBE-relaxed structure, using Cu Kα (λ = 1.5418 Å).
Peak positions follow from Bragg's law for the DFT cell and can differ from measured ones.

Main lines, low angle first (10 to 80 degrees two-theta):
2θ = 21.3°, d = 4.177 Å, intensity 5
2θ = 24.6°, d = 3.618 Å, intensity 26
2θ = 35.1°, d = 2.558 Å, intensity 100
2θ = 41.4°, d = 2.181 Å, intensity 3
2θ = 43.3°, d = 2.089 Å, intensity 8
2θ = 50.5°, d = 1.809 Å, intensity 18
2θ = 56.9°, d = 1.618 Å, intensity 11
2θ = 62.9°, d = 1.477 Å, intensity 36
2θ = 74.1°, d = 1.279 Å, intensity 11
2θ = 79.5°, d = 1.206 Å, intensity 5

Atomic structure:
Cell: 8.8652 8.8652 8.8652 Å, 33.53 33.53 33.53°
Positions (direct):
Dy 0.1235 0.1235 0.1235
Dy 0.3736 0.3736 0.3736
Dy 0.6264 0.6264 0.6264
Dy 0.8765 0.8765 0.8765
Al 0.2498 0.2498 0.2498
Al 0.7502 0.7502 0.7502
Zn 0.0000 0.0000 0.0000
Ag 0.5000 0.5000 0.5000

=====

No. 4
The following is a calculated PXRD pattern of DyAlZn6Ag. It was derived from a GGA-PBE-relaxed structure, using Cu Kα (λ = 1.5418 Å).
Peak positions follow from Bragg's law for the DFT cell and can differ from measured ones.

Main lines, low angle first (10 to 80 degrees two-theta):
2θ = 12.8°, d = 6.902 Å, intensity 77
2θ = 25.8°, d = 3.457 Å, intensity 33
2θ = 31.4°, d = 2.847 Å, intensity 40
2θ = 32.3°, d = 2.771 Å, intensity 86
2θ = 35.7°, d = 2.514 Å, intensity 100
2θ = 36.0°, d = 2.495 Å, intensity 62
2θ = 38.7°, d = 2.324 Å, intensity 63
2θ = 41.3°, d = 2.186 Å, intensity 44
2θ = 47.1°, d = 1.928 Å, intensity 56
2θ = 56.3°, d = 1.635 Å, intensity 37

Atomic structure:
Cell: 8.9325 8.9325 8.9325 Å, 145.87 111.49 78.81°
Positions (direct):
Dy 0.4217 0.1717 0.2500
Dy 0.5783 0.8283 0.7500
Al 0.0000 0.5000 0.5000
Al 0.5000 0.5000 0.0000
Zn 0.1416 0.4042 0.2325
Zn 0.1416 0.9091 0.7374
Zn 0.1966 0.9466 0.2500
Zn 0.3210 0.5710 0.7500
Zn 0.3283 0.0909 0.7325
Zn 0.3283 0.5958 0.2374
Zn 0.6717 0.4042 0.7626
Zn 0.6717 0.9091 0.2675
Zn 0.6790 0.4290 0.2500
Zn 0.8034 0.0534 0.7500
Zn 0.8584 0.0909 0.2626
Zn 0.8584 0.5958 0.7675
Ag 0.0000 0.0000 0.5000
Ag 0.0000 0.5000 0.0000

=====

No. 5
The following is a calculated PXRD pattern of DyAlZnAg6. It was derived from a GGA-PBE-relaxed structure, using Cu Kα (λ = 1.5418 Å).
Peak positions follow from Bragg's law for the DFT cell and can differ from measured ones.

Main lines, low angle first (10 to 80 degrees two-theta):
2θ = 11.5°, d = 7.724 Å, intensity 30
2θ = 25.5°, d = 3.492 Å, intensity 26
2θ = 31.2°, d = 2.870 Å, intensity 69
2θ = 32.0°, d = 2.793 Å, intensity 43
2θ = 35.7°, d = 2.518 Å, intensity 100
2θ = 38.9°, d = 2.317 Å, intensity 61
2θ = 41.8°, d = 2.159 Å, intensity 30
2θ = 43.5°, d = 2.080 Å, intensity 31
2θ = 44.3°, d = 2.043 Å, intensity 56
2θ = 75.5°, d = 1.259 Å, intensity 21

Atomic structure:
Cell: 8.9028 8.9028 8.9028 Å, 140.62 117.26 76.65°
Positions (direct):
Dy 0.4424 0.1924 0.2500
Dy 0.5576 0.8076 0.7500
Al 0.0000 0.0000 0.5000
Al 0.0000 0.5000 0.0000
Zn 0.0000 0.5000 0.5000
Zn 0.5000 0.5000 0.0000
Ag 0.1344 0.3990 0.2379
Ag 0.1344 0.8965 0.7353
Ag 0.1843 0.9343 0.2500
Ag 0.3389 0.1035 0.7379
Ag 0.3389 0.6010 0.2353
Ag 0.3401 0.5901 0.7500
Ag 0.6599 0.4099 0.2500
Ag 0.6611 0.3990 0.7647
Ag 0.6611 0.8965 0.2621
Ag 0.8157 0.0657 0.7500
Ag 0.8656 0.1035 0.2647
Ag 0.8656 0.6010 0.7621

=====

No. 6
The following is a calculated PXRD pattern of ErAl6Ag. It was derived from a GGA-PBE-relaxed structure, using Cu Kα (λ = 1.5418 Å).
Peak positions follow from Bragg's law for the DFT cell and can differ from measured ones.

Main lines, low angle first (10 to 80 degrees two-theta):
2θ = 21.0°, d = 4.222 Å, intensity 27
2θ = 21.2°, d = 4.184 Å, intensity 53
2θ = 30.1°, d = 2.972 Å, intensity 45
2θ = 30.2°, d = 2.959 Å, intensity 22
2θ = 37.1°, d = 2.423 Å, intensity 100
2θ = 42.8°, d = 2.111 Å, intensity 17
2θ = 43.2°, d = 2.095 Å, intensity 16
2θ = 43.3°, d = 2.090 Å, intensity 16
2θ = 53.6°, d = 1.711 Å, intensity 18
2θ = 62.5°, d = 1.486 Å, intensity 21

Atomic structure:
Cell: 8.3590 8.3784 4.2221 Å, 90.00 90.00 90.00°
Positions (direct):
Er 0.0000 0.0000 0.0000
Er 0.5000 0.5000 0.0000
Al 0.0000 0.2538 0.5000
Al 0.0000 0.7462 0.5000
Al 0.2458 0.5000 0.5000
Al 0.2500 0.2500 0.0000
Al 0.2500 0.7500 0.0000
Al 0.2542 0.0000 0.5000
Al 0.5000 0.2462 0.5000
Al 0.5000 0.7538 0.5000
Al 0.7458 0.0000 0.5000
Al 0.7500 0.2500 0.0000
Al 0.7500 0.7500 0.0000
Al 0.7542 0.5000 0.5000
Ag 0.0000 0.5000 0.0000
Ag 0.5000 0.0000 0.0000

=====

No. 7
The following is a calculated PXRD pattern of Er7Al2Ag2. It was derived from a GGA-PBE-relaxed structure, using Cu Kα (λ = 1.5418 Å).
Peak positions follow from Bragg's law for the DFT cell and can differ from measured ones.

Main lines, low angle first (10 to 80 degrees two-theta):
2θ = 14.0°, d = 6.316 Å, intensity 16
2θ = 26.0°, d = 3.429 Å, intensity 25
2θ = 28.2°, d = 3.159 Å, intensity 100
2θ = 29.9°, d = 2.992 Å, intensity 15
2θ = 33.0°, d = 2.713 Å, intensity 45
2θ = 33.7°, d = 2.661 Å, intensity 21
2θ = 36.9°, d = 2.439 Å, intensity 47
2θ = 37.7°, d = 2.389 Å, intensity 72
2θ = 46.8°, d = 1.942 Å, intensity 18
2θ = 58.4°, d = 1.580 Å, intensity 27

Atomic structure:
Cell: 6.6727 6.6727 7.3062 Å, 90.00 90.00 108.82°
Positions (direct):
Er 0.0000 0.0000 0.0000
Er 0.0000 0.5000 0.2787
Er 0.0000 0.5000 0.7213
Er 0.5000 0.0000 0.2787
Er 0.5000 0.0000 0.7213
Er 0.5000 0.5000 0.2658
Er 0.5000 0.5000 0.7342
Al 0.1688 0.1688 0.5000
Al 0.8312 0.8312 0.5000
Ag 0.2935 0.7065 0.0000
Ag 0.7065 0.2935 0.0000

=====

No. 8
The following is a calculated PXRD pattern of Er3Al8Ag. It was derived from a GGA-PBE-relaxed structure, using Cu Kα (λ = 1.5418 Å).
Peak positions follow from Bragg's law for the DFT cell and can differ from measured ones.

Main lines, low angle first (10 to 80 degrees two-theta):
2θ = 19.8°, d = 4.481 Å, intensity 63
2θ = 32.6°, d = 2.744 Å, intensity 100
2θ = 38.5°, d = 2.341 Å, intensity 100
2θ = 51.3°, d = 1.782 Å, intensity 11
2θ = 58.2°, d = 1.585 Å, intensity 28
2θ = 58.3°, d = 1.582 Å, intensity 8
2θ = 62.1°, d = 1.494 Å, intensity 23
2θ = 68.3°, d = 1.374 Å, intensity 11
2θ = 68.4°, d = 1.371 Å, intensity 9
2θ = 77.8°, d = 1.228 Å, intensity 8

Atomic structure:
Cell: 9.4901 9.4901 9.4901 Å, 33.65 33.65 33.65°
Positions (direct):
Er 0.0000 0.0000 0.0000
Er 0.1286 0.1286 0.1286
Er 0.6205 0.6205 0.6205
Al 0.0602 0.5642 0.5642
Al 0.0630 0.0630 0.5665
Al 0.0630 0.5665 0.0630
Al 0.3134 0.3134 0.3134
Al 0.5642 0.0602 0.5642
Al 0.5642 0.5642 0.0602
Al 0.5665 0.0630 0.0630
Al 0.8136 0.8136 0.8136
Ag 0.4927 0.4927 0.4927

=====

No. 9
The following is a calculated PXRD pattern of Er2Al8Ag. It was derived from a GGA-PBE-relaxed structure, using Cu Kα (λ = 1.5418 Å).
Peak positions follow from Bragg's law for the DFT cell and can differ from measured ones.

Main lines, low angle first (10 to 80 degrees two-theta):
2θ = 20.5°, d = 4.324 Å, intensity 95
2θ = 23.8°, d = 3.744 Å, intensity 24
2θ = 29.2°, d = 3.058 Å, intensity 30
2θ = 31.6°, d = 2.830 Å, intensity 62
2θ = 38.0°, d = 2.368 Å, intensity 100
2θ = 41.8°, d = 2.162 Å, intensity 44
2θ = 47.0°, d = 1.934 Å, intensity 22
2θ = 48.6°, d = 1.872 Å, intensity 22
2θ = 53.3°, d = 1.718 Å, intensity 40
2θ = 73.8°, d = 1.284 Å, intensity 28

Atomic structure:
Cell: 4.3241 4.3241 11.2310 Å, 90.00 90.00 90.00°
Positions (direct):
Er 0.0000 0.0000 0.1835
Er 0.0000 0.0000 0.8165
Al 0.0000 0.5000 0.0000
Al 0.0000 0.5000 0.3667
Al 0.0000 0.5000 0.6333
Al 0.5000 0.0000 0.0000
Al 0.5000 0.0000 0.3667
Al 0.5000 0.0000 0.6333
Al 0.5000 0.5000 0.1923
Al 0.5000 0.5000 0.8077
Ag 0.0000 0.0000 0.5000

=====

No. 10
The following is a calculated PXRD pattern of ErAlAgHg. It was derived from a GGA-PBE-relaxed structure, using Cu Kα (λ = 1.5418 Å).
Peak positions follow from Bragg's law for the DFT cell and can differ from measured ones.

Main lines, low angle first (10 to 80 degrees two-theta):
2θ = 22.2°, d = 3.995 Å, intensity 24
2θ = 25.7°, d = 3.460 Å, intensity 7
2θ = 36.7°, d = 2.447 Å, intensity 100
2θ = 43.4°, d = 2.087 Å, intensity 13
2θ = 52.9°, d = 1.730 Å, intensity 17
2θ = 58.1°, d = 1.588 Å, intensity 6
2θ = 59.8°, d = 1.547 Å, intensity 3
2θ = 66.2°, d = 1.413 Å, intensity 36
2θ = 70.7°, d = 1.332 Å, intensity 4
2θ = 78.1°, d = 1.223 Å, intensity 11

Atomic structure:
Cell: 6.9204 6.9204 6.9204 Å, 90.00 90.00 90.00°
Positions (direct):
Er 0.0000 0.0000 0.0000
Er 0.0000 0.5000 0.5000
Er 0.5000 0.0000 0.5000
Er 0.5000 0.5000 0.0000
Al 0.0000 0.0000 0.5000
Al 0.0000 0.5000 0.0000
Al 0.5000 0.0000 0.0000
Al 0.5000 0.5000 0.5000
Ag 0.2500 0.2500 0.2500
Ag 0.2500 0.7500 0.7500
Ag 0.7500 0.2500 0.7500
Ag 0.7500 0.7500 0.2500
Hg 0.2500 0.2500 0.7500
Hg 0.2500 0.7500 0.2500
Hg 0.7500 0.2500 0.2500
Hg 0.7500 0.7500 0.7500

=====

No. 11
The following is a calculated PXRD pattern of ErMgAl2Ag5. It was derived from a GGA-PBE-relaxed structure, using Cu Kα (λ = 1.5418 Å).
Peak positions follow from Bragg's law for the DFT cell and can differ from measured ones.

Main lines, low angle first (10 to 80 degrees two-theta):
2θ = 11.0°, d = 8.017 Å, intensity 58
2θ = 34.7°, d = 2.583 Å, intensity 100
2θ = 37.7°, d = 2.388 Å, intensity 51
2θ = 39.4°, d = 2.289 Å, intensity 11
2θ = 43.2°, d = 2.096 Å, intensity 26
2θ = 45.2°, d = 2.004 Å, intensity 9
2θ = 54.3°, d = 1.689 Å, intensity 17
2θ = 60.3°, d = 1.535 Å, intensity 15
2θ = 66.1°, d = 1.413 Å, intensity 29
2θ = 71.8°, d = 1.315 Å, intensity 11

Atomic structure:
Cell: 4.7763 4.7763 8.0169 Å, 90.00 90.00 90.00°
Positions (direct):
Er 0.0000 0.0000 0.0000
Mg 0.0000 0.0000 0.5000
Al 0.5000 0.5000 0.3440
Al 0.5000 0.5000 0.6560
Ag 0.0000 0.5000 0.2269
Ag 0.0000 0.5000 0.7731
Ag 0.5000 0.0000 0.2269
Ag 0.5000 0.0000 0.7731
Ag 0.5000 0.5000 0.0000

=====

No. 12
The following is a calculated PXRD pattern of ErAlAg2Se4. It was derived from a GGA-PBE-relaxed structure, using Cu Kα (λ = 1.5418 Å).
Peak positions follow from Bragg's law for the DFT cell and can differ from measured ones.

Main lines, low angle first (10 to 80 degrees two-theta):
2θ = 26.8°, d = 3.326 Å, intensity 10
2θ = 31.6°, d = 2.832 Å, intensity 100
2θ = 32.0°, d = 2.799 Å, intensity 51
2θ = 42.9°, d = 2.107 Å, intensity 18
2θ = 45.6°, d = 1.991 Å, intensity 71
2θ = 47.5°, d = 1.913 Å, intensity 17
2θ = 54.5°, d = 1.683 Å, intensity 17
2θ = 58.4°, d = 1.579 Å, intensity 18
2θ = 75.2°, d = 1.264 Å, intensity 13
2θ = 75.8°, d = 1.255 Å, intensity 15

Atomic structure:
Cell: 7.9819 7.9819 7.9819 Å, 116.28 90.95 122.73°
Positions (direct):
Er 0.0000 0.0000 0.0000
Er 0.0000 0.5000 0.5000
Al 0.9999 0.9999 0.5000
Al 0.4999 0.4999 0.5000
Ag 0.4991 0.9991 0.0000
Ag 0.4999 0.9999 0.5000
Ag 0.4999 0.4999 0.0000
Ag 0.9992 0.4991 0.0000
Se 0.2454 0.4992 0.2461
Se 0.2519 0.0431 0.2951
Se 0.2519 0.4567 0.7088
Se 0.2531 0.9992 0.7539
Se 0.7469 0.0008 0.2461
Se 0.7479 0.5431 0.2912
Se 0.7479 0.9567 0.7049
Se 0.7547 0.5008 0.7539

=====

No. 13
The following is a calculated PXRD pattern of AlAg3F8. It was derived from a GGA-PBE-relaxed structure, using Cu Kα (λ = 1.5418 Å).
Peak positions follow from Bragg's law for the DFT cell and can differ from measured ones.

Main lines, low angle first (10 to 80 degrees two-theta):
2θ = 17.6°, d = 5.030 Å, intensity 53
2θ = 22.3°, d = 3.984 Å, intensity 100
2θ = 32.1°, d = 2.788 Å, intensity 20
2θ = 32.6°, d = 2.748 Å, intensity 34
2θ = 32.7°, d = 2.737 Å, intensity 17
2θ = 33.4°, d = 2.684 Å, intensity 30
2θ = 42.1°, d = 2.145 Å, intensity 39
2θ = 45.4°, d = 1.996 Å, intensity 15
2θ = 47.3°, d = 1.920 Å, intensity 15
2θ = 54.8°, d = 1.676 Å, intensity 24

Atomic structure:
Cell: 6.0770 6.0770 6.5239 Å, 90.00 90.00 124.13°
Positions (direct):
Al 0.0000 0.0000 0.0000
Ag 0.0000 0.0000 0.5000
Ag 0.0000 0.5000 0.2440
Ag 0.5000 0.0000 0.7560
F 0.1776 0.8224 0.0000
F 0.1985 0.8015 0.5000
F 0.2118 0.2318 0.1988
F 0.2318 0.2118 0.8012
F 0.7682 0.7882 0.8012
F 0.7882 0.7682 0.1988
F 0.8015 0.1985 0.5000
F 0.8224 0.1776 0.0000